Starting from a cell relaxed with GGA-PBE, the powder diffractogram of PrCrFeC2 was calculated for Cu Kα (weighted mean of Kα1 and Kα2).

The 10 most intense peaks (15 to 90 degrees two-theta), most intense first:
d (Å), I (rel.)
2.250, 1000
3.346, 850
2.464, 581
2.575, 374
1.769, 288
1.416, 263
1.458, 243
1.437, 201
1.564, 194
1.093, 190

Atomic structure:
Cell lengths 5.726, 5.726, 5.726 Å; angles 144.01, 144.01, 51.81 degrees
Atoms (fractional coordinates):
1 Pr 0.000 0.000 0.000
2 Cr 0.250 0.750 0.500
3 Fe 0.750 0.250 0.500
4 C 0.332 0.332 0.000
5 C 0.668 0.668 0.000